# 1
This entry pairs a crystal structure of Nd2Y4Tm7 with its calculated X-ray powder pattern. Radiation: Cu Ka. Structure: DFT lattice parameters and positions (PBE).
Peak positions follow from Bragg's law for the DFT cell and can differ from measured ones.

Peak list (10 most intense, 10° ≤ 2θ ≤ 90°, by intensity)
(hkl)	d [Å]	intensity
1 1 2	2.749	100
1 1 1	2.942	60
2 -1 3	2.497	48
2 -1 8	1.459	33
3 0 0	1.742	29
0 0 4	3.336	24
1 1 6	1.790	23
0 0 5	2.669	20
2 -1 4	2.238	19
3 0 4	1.544	15

Crystal structure
```
13
Lattice="6.0335 0.0000 0.0000 -3.0167 5.2251 0.0000 0.0000 0.0000 13.3459" Properties=species:S:1:pos:R:3 pbc="T T T"
Nd 0.0000 3.4834 0.0000
Nd 3.0167 1.7417 0.0000
Y 0.0000 0.0000 5.2686
Y 0.0000 0.0000 8.0773
Y 0.0000 3.4834 6.6730
Y 3.0167 1.7417 6.6730
Tm 0.0000 0.0000 0.0000
Tm -1.0557 1.8286 10.4874
Tm -1.9610 3.3965 2.8585
Tm 2.1115 0.0000 10.4874
Tm 1.0557 1.8286 2.8585
Tm 3.9220 0.0000 2.8585
Tm 1.9610 3.3965 10.4874
```


# 2
This entry pairs a crystal structure of NdY4Tm3 with its calculated X-ray powder pattern. Radiation: Cu Ka. Structure: DFT lattice parameters and positions (PBE).
Peak positions follow from Bragg's law for the DFT cell and can differ from measured ones.

Peak list (10 most intense, 10° ≤ 2θ ≤ 90°, by intensity)
(hkl)	d [Å]	intensity
1 0 2	2.901	100
1 2 0	2.512	50
1 2 4	1.776	29
1 4 2	1.514	28
2 2 2	1.517	14
2 4 4	1.123	11
1 4 6	1.152	9
0 0 2	5.020	7
1 0 0	3.554	6
2 0 4	1.452	6

Crystal structure
```
8
Lattice="3.5603 0.0000 0.0000 0.0000 7.0961 0.0000 0.0000 0.0000 10.0403" Properties=species:S:1:pos:R:3 pbc="T T T"
Nd 0.0000 0.0000 0.0000
Y 1.7802 1.7881 2.5341
Y 1.7802 1.7881 7.5062
Y 1.7802 5.3081 2.5341
Y 1.7802 5.3081 7.5062
Tm 0.0000 0.0000 5.0201
Tm 0.0000 3.5481 0.0000
Tm 0.0000 3.5481 5.0201
```